Entry 1:
This entry pairs a crystal structure of Na3AsW with its theoretical powder XRD pattern. Radiation: Cu Ka. Structure: a cell relaxed with GGA-PBE.
No peak broadening, texture or thermal motion is included.

Top 10 peaks for 2θ from 10° to 90°, most intense first:
3.896 Å, 22.83 deg, I = 100
2.249 Å, 40.09 deg, I = 47
2.755 Å, 32.50 deg, I = 42
1.948 Å, 46.63 deg, I = 30
1.472 Å, 63.15 deg, I = 25
3.181 Å, 28.05 deg, I = 23
1.742 Å, 52.53 deg, I = 22
1.232 Å, 77.48 deg, I = 13
1.299 Å, 72.84 deg, I = 12
5.509 Å, 16.09 deg, I = 12

Crystal structure
Cell lengths 5.509, 5.509, 5.509 Å; angles 90.00, 90.00, 90.00 degrees
Space group Pm-3m (No. 221)
One atom of each set of equivalent atoms:
Na: 0.000 0.000 0.500 (multiplicity 3)
As: 0.000 0.000 0.000 (multiplicity 1)
W: 0.500 0.500 0.500 (multiplicity 1)



Entry 2:
This entry pairs a crystal structure of NaZn4As3 with its theoretical powder XRD pattern. Radiation: Cu Ka. Structure: a cell relaxed with GGA-PBE.
No peak broadening, texture or thermal motion is included.

Top 10 peaks for 2θ from 10° to 90°, most intense first:
2.101 Å, 43.06 deg, I = 100
2.442 Å, 36.80 deg, I = 66
2.079 Å, 43.52 deg, I = 49
3.328 Å, 26.79 deg, I = 39
3.617 Å, 24.62 deg, I = 35
3.660 Å, 24.32 deg, I = 26
1.822 Å, 50.06 deg, I = 22
1.518 Å, 61.04 deg, I = 20
1.593 Å, 57.90 deg, I = 17
3.185 Å, 28.01 deg, I = 16

Crystal structure
Cell lengths 4.2014, 4.2014, 32.9419 Å; angles 90.00, 90.00, 120.00 degrees
Space group R-3m (No. 166, hexagonal axes)
One atom of each set of equivalent atoms:
Na: 0.0000 0.0000 0.0000 (multiplicity 3)
Zn: 0.0000 0.0000 0.1989 (multiplicity 6)
Zn: 0.0000 0.0000 0.4097 (multiplicity 6)
As: 0.0000 0.0000 0.2740 (multiplicity 6)
As: 0.0000 0.0000 0.5000 (multiplicity 3)



Entry 3:
This entry pairs a crystal structure of Na2ZnAs2 with its theoretical powder XRD pattern. Radiation: Cu Ka. Structure: a cell relaxed with GGA-PBE.
No peak broadening, texture or thermal motion is included.

Top 10 peaks for 2θ from 10° to 90°, most intense first:
4.089 Å, 21.73 deg, I = 100
2.278 Å, 39.56 deg, I = 99
2.230 Å, 40.45 deg, I = 90
5.335 Å, 16.62 deg, I = 51
2.526 Å, 35.54 deg, I = 48
2.722 Å, 32.90 deg, I = 44
2.743 Å, 32.64 deg, I = 42
2.777 Å, 32.23 deg, I = 36
3.409 Å, 26.14 deg, I = 35
1.801 Å, 50.68 deg, I = 24

Crystal structure
Cell lengths 10.672, 4.558, 10.381 Å; angles 90.00, 119.79, 90.00 degrees
Space group C2/m (No. 12)
One atom of each set of equivalent atoms:
Na: 0.013 0.000 0.192 (multiplicity 4)
Na: 0.183 0.000 0.598 (multiplicity 4)
Zn: 0.214 0.500 0.853 (multiplicity 4)
As: 0.018 0.500 0.388 (multiplicity 4)
As: 0.139 0.500 0.056 (multiplicity 4)



Entry 4:
This entry pairs a crystal structure of Na5ZnAs2 with its theoretical powder XRD pattern. Radiation: Cu Ka. Structure: a cell relaxed with GGA-PBE.
No peak broadening, texture or thermal motion is included.

Top 10 peaks for 2θ from 10° to 90°, most intense first:
2.560 Å, 35.06 deg, I = 100
4.368 Å, 20.33 deg, I = 73
4.190 Å, 21.21 deg, I = 35
2.218 Å, 40.68 deg, I = 34
2.596 Å, 34.55 deg, I = 21
1.478 Å, 62.89 deg, I = 17
1.903 Å, 47.79 deg, I = 15
1.402 Å, 66.70 deg, I = 15
2.062 Å, 43.92 deg, I = 15
2.822 Å, 31.70 deg, I = 14

Crystal structure
Cell lengths 5.1193, 5.1193, 25.6163 Å; angles 90.00, 90.00, 120.00 degrees
Space group R-3m (No. 166, hexagonal axes)
One atom of each set of equivalent atoms:
Na: 0.0000 0.0000 0.0000 (multiplicity 3)
Na: 0.0000 0.0000 0.1239 (multiplicity 6)
Na: 0.0000 0.0000 0.2776 (multiplicity 6)
Zn: 0.0000 0.0000 0.5000 (multiplicity 3)
As: 0.0000 0.0000 0.4057 (multiplicity 6)



Entry 5:
This entry pairs a crystal structure of Nb2As3 with its theoretical powder XRD pattern. Radiation: Cu Ka. Structure: a cell relaxed with GGA-PBE.
No peak broadening, texture or thermal motion is included.

Top 10 peaks for 2θ from 10° to 90°, most intense first:
2.337 Å, 38.53 deg, I = 100
2.700 Å, 33.18 deg, I = 81
2.689 Å, 33.32 deg, I = 70
1.746 Å, 52.41 deg, I = 68
2.212 Å, 40.79 deg, I = 60
2.348 Å, 38.33 deg, I = 52
5.827 Å, 15.21 deg, I = 45
2.189 Å, 41.24 deg, I = 42
1.704 Å, 53.80 deg, I = 41
2.220 Å, 40.64 deg, I = 36

Crystal structure
Cell lengths 6.131, 3.408, 9.935 Å; angles 90.00, 107.37, 90.00 degrees
Space group P2_1/m (No. 11)
One atom of each set of equivalent atoms:
Nb: 0.098 0.250 0.145 (multiplicity 2)
Nb: 0.251 0.250 0.493 (multiplicity 2)
As: 0.033 0.250 0.691 (multiplicity 2)
As: 0.312 0.750 0.027 (multiplicity 2)
As: 0.491 0.750 0.673 (multiplicity 2)



Entry 6:
This entry pairs a crystal structure of Nb3As2 with its theoretical powder XRD pattern. Radiation: Cu Ka. Structure: a cell relaxed with GGA-PBE.
No peak broadening, texture or thermal motion is included.

Top 10 peaks for 2θ from 10° to 90°, most intense first:
2.396 Å, 37.55 deg, I = 100
2.371 Å, 37.96 deg, I = 87
2.332 Å, 38.61 deg, I = 67
2.460 Å, 36.53 deg, I = 64
2.186 Å, 41.30 deg, I = 59
1.763 Å, 51.86 deg, I = 53
1.900 Å, 47.87 deg, I = 50
2.206 Å, 40.91 deg, I = 44
2.493 Å, 36.02 deg, I = 42
2.787 Å, 32.12 deg, I = 34

Crystal structure
Cell lengths 10.166, 3.526, 9.794 Å; angles 90.00, 90.00, 90.00 degrees
Space group Pnma (No. 62)
One atom of each set of equivalent atoms:
Nb: 0.052 0.250 0.120 (multiplicity 4)
Nb: 0.120 0.750 0.576 (multiplicity 4)
Nb: 0.205 0.250 0.787 (multiplicity 4)
As: 0.044 0.750 0.322 (multiplicity 4)
As: 0.201 0.750 0.992 (multiplicity 4)